[1]
GdYZn2Au4: theoretical powder diffraction line list (λ = 1.5418 Å (Cu Kα)), based on a cell relaxed with GGA-PBE.
No peak broadening, texture or thermal motion is included.

Main lines, sorted by position (10 to 90 degrees two-theta):
2theta, I_rel
25.98, 14.1
37.07, 100.0
53.44, 17.5
60.35, 6.1
66.82, 35.7
78.96, 11.3

Atomic structure:
```
GdYZn2Au4
1.0
4.851 0.000 0.000
0.000 4.851 0.000
0.000 0.000 6.855
Gd Y Zn Au
1 1 2 4
direct
0.000 0.000 0.000
0.500 0.500 0.500
0.000 0.000 0.500
0.500 0.500 0.000
0.000 0.500 0.250
0.000 0.500 0.750
0.500 0.000 0.250
0.500 0.000 0.750
```


[2]
BeCu2Si: theoretical powder diffraction line list (λ = 1.5418 Å (Cu Kα)), based on a cell relaxed with GGA-PBE.
No peak broadening, texture or thermal motion is included.

Main lines, sorted by position (10 to 90 degrees two-theta):
2theta, I_rel
31.75, 50.9
45.51, 100.0
56.55, 11.2
66.32, 14.3
75.40, 11.7
84.12, 27.4

Atomic structure:
```
BeCu2Si
1.0
5.637 0.000 0.000
0.000 5.637 0.000
0.000 0.000 5.637
Be Cu Si
4 8 4
direct
0.000 0.000 0.000
0.000 0.000 0.500
0.000 0.500 0.000
0.500 0.000 0.000
0.236 0.236 0.236
0.236 0.236 0.764
0.236 0.764 0.236
0.236 0.764 0.764
0.764 0.236 0.236
0.764 0.236 0.764
0.764 0.764 0.236
0.764 0.764 0.764
0.000 0.500 0.500
0.500 0.000 0.500
0.500 0.500 0.000
0.500 0.500 0.500
```


[3]
Lu3Co: theoretical powder diffraction line list (λ = 1.5418 Å (Cu Kα)), based on a cell relaxed with GGA-PBE.
No peak broadening, texture or thermal motion is included.

Main lines, sorted by position (10 to 90 degrees two-theta):
2theta, I_rel
31.89, 31.2
32.68, 100.0
32.83, 40.0
34.10, 45.2
36.17, 40.9
56.54, 32.0

Atomic structure:
```
Lu3Co
1.0
6.763 0.000 0.000
0.000 9.238 0.000
0.000 0.000 6.001
Lu Co
12 4
direct
0.040 0.250 0.133
0.177 0.065 0.677
0.177 0.435 0.677
0.323 0.565 0.177
0.323 0.935 0.177
0.460 0.750 0.633
0.540 0.250 0.367
0.677 0.065 0.823
0.677 0.435 0.823
0.823 0.565 0.323
0.823 0.935 0.323
0.960 0.750 0.867
0.112 0.750 0.451
0.388 0.250 0.951
0.612 0.750 0.049
0.888 0.250 0.549
```


[4]
HoHIBr: theoretical powder diffraction line list (λ = 1.5418 Å (Cu Kα)), based on a cell relaxed with GGA-PBE.
No peak broadening, texture or thermal motion is included.

Main lines, sorted by position (10 to 90 degrees two-theta):
2theta, I_rel
11.42, 79.7
27.03, 44.7
28.84, 74.3
31.66, 38.9
35.26, 100.0
46.60, 44.9

Atomic structure:
```
HoHIBr
1.0
3.898 0.000 0.000
-1.949 3.376 0.000
0.000 0.000 15.501
Ho H I Br
2 2 2 2
direct
0.000 0.000 0.244
0.000 0.000 0.756
0.333 0.667 0.752
0.667 0.333 0.248
0.333 0.667 0.382
0.667 0.333 0.618
0.333 0.667 0.123
0.667 0.333 0.877
```